Simulated XRD peak list of MnNbP2O8 for Cu Kα (weighted mean of Kα1 and Kα2), from DFT lattice parameters and positions (GGA+U).

Structural model:
Cell lengths 6.1400, 10.1182, 10.1976 Å; angles 87.48, 90.00, 89.99 degrees
Atoms (fractional coordinates):
Mn (0.0000, 0.0000, 0.0000)
Mn (0.0010, 0.4994, 0.9995)
Mn (0.4999, 0.4409, 0.4441)
Mn (0.5009, 0.9408, 0.4439)
Nb (0.0004, 0.1890, 0.5054)
Nb (0.0006, 0.6883, 0.5060)
Nb (0.5004, 0.2518, 0.9383)
Nb (0.5006, 0.7524, 0.9379)
P (0.0004, 0.2644, 0.8109)
P (0.0000, 0.4112, 0.3229)
P (0.0002, 0.9105, 0.3230)
P (0.0006, 0.7645, 0.8110)
P (0.5001, 0.0297, 0.1209)
P (0.5003, 0.1763, 0.6329)
P (0.5002, 0.5302, 0.1208)
P (0.5006, 0.6763, 0.6330)
O (0.0002, 0.0578, 0.3575)
O (0.0004, 0.1154, 0.8269)
O (0.0003, 0.3125, 0.6650)
O (0.0002, 0.3948, 0.1770)
O (0.9999, 0.5587, 0.3564)
O (0.0005, 0.6155, 0.8270)
O (0.0003, 0.8125, 0.6651)
O (0.0004, 0.8951, 0.1771)
O (0.1941, 0.3360, 0.3969)
O (0.1943, 0.8350, 0.3966)
O (0.2015, 0.3285, 0.8832)
O (0.2020, 0.8285, 0.8830)
O (0.2993, 0.1123, 0.5604)
O (0.2997, 0.6121, 0.5605)
O (0.3060, 0.1049, 0.0471)
O (0.3060, 0.6056, 0.0474)
O (0.5003, 0.0460, 0.2668)
O (0.5003, 0.1282, 0.7788)
O (0.5003, 0.3253, 0.6169)
O (0.5002, 0.3830, 0.0863)
O (0.5005, 0.5456, 0.2667)
O (0.5002, 0.6283, 0.7788)
O (0.5003, 0.8252, 0.6169)
O (0.4999, 0.8822, 0.0875)
O (0.6942, 0.1048, 0.0470)
O (0.6944, 0.6056, 0.0472)
O (0.7016, 0.1124, 0.5605)
O (0.7021, 0.6122, 0.5609)
O (0.7994, 0.3284, 0.8834)
O (0.7996, 0.8287, 0.8834)
O (0.8060, 0.3360, 0.3968)
O (0.8060, 0.8351, 0.3964)

Top 10 peaks for 10° ≤ 2θ ≤ 80°, by angle:
Position (°2θ)  I_rel
17.41  100
19.26  42
19.95  57
24.14  80
24.26  30
24.71  53
29.09  98
29.30  31
34.42  68
35.63  47

***

Simulated XRD peak list of Mn3NbP6O24 for Cu Kα (weighted mean of Kα1 and Kα2), from DFT lattice parameters and positions (GGA+U).

Structural model:
Cell lengths 8.7571, 8.7571, 8.7571 Å; angles 58.31, 58.31, 58.31 degrees
Atoms (fractional coordinates):
Mn (0.0000, 0.0000, 0.0000)
Mn (0.2120, 0.2120, 0.2120)
Mn (0.4999, 0.4999, 0.4999)
Nb (0.7164, 0.7164, 0.7164)
P (0.1194, 0.8231, 0.3787)
P (0.3133, 0.6049, 0.8923)
P (0.3787, 0.1194, 0.8231)
P (0.6049, 0.8923, 0.3133)
P (0.8231, 0.3787, 0.1194)
P (0.8923, 0.3133, 0.6049)
O (0.0758, 0.2916, 0.4302)
O (0.0874, 0.8445, 0.2108)
O (0.1312, 0.7811, 0.9172)
O (0.1346, 0.9976, 0.3627)
O (0.2108, 0.0874, 0.8445)
O (0.2906, 0.6392, 0.4058)
O (0.2916, 0.4302, 0.0758)
O (0.3403, 0.5824, 0.7160)
O (0.3627, 0.1346, 0.9976)
O (0.4058, 0.2906, 0.6392)
O (0.4302, 0.0758, 0.2916)
O (0.4880, 0.6337, 0.8626)
O (0.5622, 0.9410, 0.7956)
O (0.5823, 0.7160, 0.3403)
O (0.6337, 0.8626, 0.4880)
O (0.6392, 0.4058, 0.2906)
O (0.7160, 0.3403, 0.5823)
O (0.7811, 0.9172, 0.1312)
O (0.7956, 0.5622, 0.9410)
O (0.8445, 0.2108, 0.0874)
O (0.8626, 0.4880, 0.6337)
O (0.9172, 0.1312, 0.7811)
O (0.9410, 0.7956, 0.5622)
O (0.9976, 0.3627, 0.1346)

Top 10 peaks for 10° ≤ 2θ ≤ 80°, by angle:
Position (°2θ)  I_rel
14.50  50
20.29  78
20.82  44
24.21  100
29.24  62
32.32  16
32.44  39
36.48  18
53.44  16
57.12  16

***

Simulated XRD peak list of Mn2NbV3P6O24 for Cu Kα (weighted mean of Kα1 and Kα2), from DFT lattice parameters and positions (GGA+U).

Structural model:
Cell lengths 8.7301, 8.7301, 8.7301 Å; angles 59.97, 59.97, 59.97 degrees
Atoms (fractional coordinates):
Mn (0.0000, 0.0000, 0.0000)
Mn (0.4963, 0.4963, 0.4963)
Nb (0.8520, 0.8520, 0.8520)
V (0.1410, 0.1410, 0.1410)
V (0.3525, 0.3525, 0.3525)
V (0.6388, 0.6388, 0.6388)
P (0.0394, 0.4475, 0.7431)
P (0.2510, 0.9542, 0.5337)
P (0.4475, 0.7431, 0.0394)
P (0.5337, 0.2510, 0.9542)
P (0.7431, 0.0394, 0.4475)
P (0.9542, 0.5337, 0.2510)
O (0.0558, 0.2597, 0.9092)
O (0.0829, 0.9343, 0.7307)
O (0.1125, 0.5037, 0.3012)
O (0.1874, 0.9899, 0.3808)
O (0.2313, 0.4392, 0.5838)
O (0.2597, 0.9092, 0.0558)
O (0.3012, 0.1125, 0.5037)
O (0.3808, 0.1874, 0.9899)
O (0.4082, 0.7600, 0.5557)
O (0.4392, 0.5838, 0.2313)
O (0.4895, 0.6882, 0.8808)
O (0.5037, 0.3012, 0.1125)
O (0.5557, 0.4082, 0.7600)
O (0.5838, 0.2313, 0.4392)
O (0.6129, 0.8044, 0.9947)
O (0.6882, 0.8808, 0.4895)
O (0.7307, 0.0829, 0.9343)
O (0.7600, 0.5557, 0.4082)
O (0.8044, 0.9947, 0.6129)
O (0.8808, 0.4895, 0.6882)
O (0.9092, 0.0558, 0.2597)
O (0.9343, 0.7307, 0.0829)
O (0.9899, 0.3808, 0.1874)
O (0.9947, 0.6129, 0.8044)

Top 10 peaks for 10° ≤ 2θ ≤ 80°, by angle:
Position (°2θ)  I_rel
20.35  98
23.91  100
24.99  14
31.60  17
32.43  75
35.64  42
46.53  30
48.95  29
55.73  41
62.00  26

***

Simulated XRD peak list of SrPrMnNbO6 for Cu Kα (weighted mean of Kα1 and Kα2), from DFT lattice parameters and positions (GGA+U).

Structural model:
Cell lengths 5.7746, 5.7746, 5.7746 Å; angles 60.00, 60.00, 60.00 degrees
Atoms (fractional coordinates):
Sr (0.0000, 0.0000, 0.0000)
Pr (0.5000, 0.5000, 0.5000)
Mn (0.2500, 0.2500, 0.2500)
Nb (0.7500, 0.7500, 0.7500)
O (0.5063, 0.5063, 0.9937)
O (0.5063, 0.9937, 0.5063)
O (0.5063, 0.9937, 0.9937)
O (0.9937, 0.5063, 0.5063)
O (0.9937, 0.5063, 0.9937)
O (0.9937, 0.9937, 0.5063)

Top 10 peaks for 10° ≤ 2θ ≤ 80°, by angle:
Position (°2θ)  I_rel
18.82  9
30.97  100
36.49  5
38.17  10
44.37  34
48.60  2
55.09  39
64.55  20
73.32  17
77.54  3

***

Simulated XRD peak list of MnNb2Zn2O8 for Cu Kα (weighted mean of Kα1 and Kα2), from DFT lattice parameters and positions (GGA+U).

Structural model:
Cell lengths 10.2640, 10.2640, 5.3102 Å; angles 90.03, 90.03, 34.05 degrees
Atoms (fractional coordinates):
Mn (0.1585, 0.8415, 0.7500)
Mn (0.8415, 0.1585, 0.2500)
Nb (0.2220, 0.5448, 0.2352)
Nb (0.4552, 0.7780, 0.2648)
Nb (0.5448, 0.2220, 0.7352)
Nb (0.7780, 0.4552, 0.7648)
Zn (0.0673, 0.3748, 0.2639)
Zn (0.3748, 0.0673, 0.7639)
Zn (0.6252, 0.9327, 0.2361)
Zn (0.9327, 0.6252, 0.7361)
O (0.0502, 0.3371, 0.6316)
O (0.0662, 0.8131, 0.0919)
O (0.1869, 0.9338, 0.4081)
O (0.2172, 0.4211, 0.9414)
O (0.3197, 0.5373, 0.5684)
O (0.3371, 0.0502, 0.1316)
O (0.4211, 0.2172, 0.4414)
O (0.4627, 0.6803, 0.9316)
O (0.5373, 0.3197, 0.0684)
O (0.5789, 0.7828, 0.5586)
O (0.6629, 0.9498, 0.8684)
O (0.6803, 0.4627, 0.4316)
O (0.7828, 0.5789, 0.0586)
O (0.8131, 0.0662, 0.5919)
O (0.9338, 0.1869, 0.9081)
O (0.9498, 0.6629, 0.3684)

Top 10 peaks for 10° ≤ 2θ ≤ 80°, by angle:
Position (°2θ)  I_rel
26.21  20
27.13  40
32.02  100
33.76  33
34.28  49
43.83  22
51.04  28
51.18  22
60.72  20
62.73  21

***

Simulated XRD peak list of MnNb2ZnO8 for Cu Kα (weighted mean of Kα1 and Kα2), from DFT lattice parameters and positions (GGA+U).

Structural model:
Cell lengths 10.2449, 10.2449, 5.1055 Å; angles 93.70, 93.70, 32.80 degrees
Atoms (fractional coordinates):
Mn (0.0000, 0.0000, 0.0000)
Mn (0.7100, 0.2900, 0.5000)
Nb (0.0639, 0.7050, 0.4904)
Nb (0.2950, 0.9361, 0.5096)
Nb (0.4216, 0.3376, 0.9976)
Nb (0.6624, 0.5784, 0.0024)
Zn (0.4736, 0.0751, 0.4438)
Zn (0.9249, 0.5264, 0.5562)
O (0.0188, 0.0859, 0.6864)
O (0.1108, 0.5646, 0.1677)
O (0.1638, 0.7175, 0.8307)
O (0.1909, 0.1910, 0.4107)
O (0.2825, 0.8362, 0.1693)
O (0.2944, 0.3695, 0.6581)
O (0.4293, 0.4529, 0.3413)
O (0.4354, 0.8892, 0.8323)
O (0.5471, 0.5707, 0.6587)
O (0.5620, 0.0755, 0.1160)
O (0.6305, 0.7056, 0.3419)
O (0.6977, 0.1980, 0.8120)
O (0.8020, 0.3023, 0.1880)
O (0.8090, 0.8091, 0.5893)
O (0.9141, 0.9812, 0.3136)
O (0.9245, 0.4380, 0.8840)

Top 10 peaks for 10° ≤ 2θ ≤ 80°, by angle:
Position (°2θ)  I_rel
20.50  37
26.41  35
27.47  56
27.62  64
31.85  100
33.55  55
35.24  42
35.69  50
52.91  29
53.02  30

***

Simulated XRD peak list of Mn3Nb2ZnO9 for Cu Kα (weighted mean of Kα1 and Kα2), from DFT lattice parameters and positions (GGA+U).

Structural model:
Cell lengths 5.3664, 5.3664, 14.5343 Å; angles 90.00, 90.00, 120.00 degrees
Atoms (fractional coordinates):
Mn (0.0000, 0.0000, 0.0000)
Mn (0.0000, 0.0000, 0.2163)
Mn (0.0000, 0.0000, 0.5000)
Mn (0.0000, 0.0000, 0.7163)
Mn (0.6667, 0.3333, 0.0322)
Mn (0.6667, 0.3333, 0.5322)
Nb (0.3333, 0.6667, 0.1598)
Nb (0.3333, 0.6667, 0.3766)
Nb (0.3333, 0.6667, 0.6598)
Nb (0.3333, 0.6667, 0.8766)
Zn (0.6667, 0.3333, 0.3130)
Zn (0.6667, 0.3333, 0.8130)
O (0.0239, 0.3302, 0.1036)
O (0.0239, 0.6937, 0.6036)
O (0.0467, 0.3901, 0.7684)
O (0.0467, 0.6566, 0.2684)
O (0.3063, 0.3302, 0.6036)
O (0.3063, 0.9761, 0.1036)
O (0.3434, 0.3901, 0.2684)
O (0.3434, 0.9533, 0.7684)
O (0.3592, 0.0029, 0.4326)
O (0.3592, 0.3563, 0.9326)
O (0.6099, 0.6566, 0.7684)
O (0.6099, 0.9533, 0.2684)
O (0.6437, 0.0029, 0.9326)
O (0.6437, 0.6408, 0.4326)
O (0.6698, 0.6937, 0.1036)
O (0.6698, 0.9761, 0.6036)
O (0.9971, 0.3563, 0.4326)
O (0.9971, 0.6408, 0.9326)

Top 10 peaks for 10° ≤ 2θ ≤ 80°, by angle:
Position (°2θ)  I_rel
19.10  17
22.71  16
31.25  100
33.39  71
46.38  38
50.78  28
54.21  11
58.35  35
59.69  27
78.78  12

***

Q: Number 5 is which compound?
A: MnNb2Zn2O8

***

Please write out number 7 again, unchanged.
Simulated XRD peak list of Mn3Nb2ZnO9 for Cu Kα (weighted mean of Kα1 and Kα2), from DFT lattice parameters and positions (GGA+U).

Structural model:
Cell lengths 5.3664, 5.3664, 14.5343 Å; angles 90.00, 90.00, 120.00 degrees
Atoms (fractional coordinates):
Mn (0.0000, 0.0000, 0.0000)
Mn (0.0000, 0.0000, 0.2163)
Mn (0.0000, 0.0000, 0.5000)
Mn (0.0000, 0.0000, 0.7163)
Mn (0.6667, 0.3333, 0.0322)
Mn (0.6667, 0.3333, 0.5322)
Nb (0.3333, 0.6667, 0.1598)
Nb (0.3333, 0.6667, 0.3766)
Nb (0.3333, 0.6667, 0.6598)
Nb (0.3333, 0.6667, 0.8766)
Zn (0.6667, 0.3333, 0.3130)
Zn (0.6667, 0.3333, 0.8130)
O (0.0239, 0.3302, 0.1036)
O (0.0239, 0.6937, 0.6036)
O (0.0467, 0.3901, 0.7684)
O (0.0467, 0.6566, 0.2684)
O (0.3063, 0.3302, 0.6036)
O (0.3063, 0.9761, 0.1036)
O (0.3434, 0.3901, 0.2684)
O (0.3434, 0.9533, 0.7684)
O (0.3592, 0.0029, 0.4326)
O (0.3592, 0.3563, 0.9326)
O (0.6099, 0.6566, 0.7684)
O (0.6099, 0.9533, 0.2684)
O (0.6437, 0.0029, 0.9326)
O (0.6437, 0.6408, 0.4326)
O (0.6698, 0.6937, 0.1036)
O (0.6698, 0.9761, 0.6036)
O (0.9971, 0.3563, 0.4326)
O (0.9971, 0.6408, 0.9326)

Top 10 peaks for 10° ≤ 2θ ≤ 80°, by angle:
Position (°2θ)  I_rel
19.10  17
22.71  16
31.25  100
33.39  71
46.38  38
50.78  28
54.21  11
58.35  35
59.69  27
78.78  12